Diffraction record for PaZn2N3. The powder diffractogram is theoretical, not measured: it uses a crystal structure in Alexandria, relaxed with PBE and CuKα.

Structure:
```
data_PaZn2N3
_space_group_name_H-M_alt 'I m m m'
_space_group_IT_number 71
_space_group_name_Hall '-I 2 2'
_cell_length_a 3.459
_cell_length_b 4.499
_cell_length_c 9.531
_cell_angle_alpha 90.00
_cell_angle_beta 90.00
_cell_angle_gamma 90.00
loop_
_atom_site_label
_atom_site_type_symbol
_atom_site_fract_x
_atom_site_fract_y
_atom_site_fract_z
_atom_site_occupancy
Pa1 Pa 0.000 0.000 0.000 1
Zn1 Zn 0.000 0.000 0.330 1
N1 N 0.000 0.500 0.000 1
N2 N 0.000 0.500 0.338 1
```

Most intense lines, 10° ≤ 2θ ≤ 90°, sorted by position:
index	2θ (°)	I_rel
0 0 2	18.62	40
0 1 1	21.85	62
1 0 1	27.43	35
1 1 0	32.66	100
0 1 3	34.56	86
0 0 4	37.83	36
1 0 3	38.48	100
0 2 0	40.09	45
1 2 3	56.77	62
1 3 0	68.21	38